Record 1
The following is a simulated powder diffraction line list of BaMgC2O4. It was derived from a structure optimized by DFT (GGA-PBE), using Cu Kα, 1.54184 Å.
Kinematic intensities with the Lorentz-polarization factor, no thermal factor.

Main lines, in order of falling intensity (10 to 80 degrees two-theta):
| 2theta | intensity | h k l |
| --- | --- | --- |
| 28.79 | 100 | 1 1 1 |
| 21.40 | 67 | 1 1 0 |
| 23.19 | 65 | 1 1 -1 |
| 31.98 | 53 | 2 0 -2 |
| 45.93 | 50 | 0 2 2 |
| 14.82 | 40 | 0 0 1 |
| 41.11 | 32 | 3 1 -1 |
| 43.59 | 31 | 2 2 0 |
| 32.78 | 29 | 1 1 -2 |
| 34.95 | 22 | 2 0 1 |

Structure:
a b c (Å): 7.2479 5.2650 6.4149
angles (deg): 90.00 111.30 90.00
Space group C2/m (No. 12)
Unique sites:
Ba: 0.0000 0.0000 0.0000
Mg: 0.0000 0.5000 0.5000
C: 0.2332 0.5000 0.3200
O: 0.1855 0.2097 0.7196

Record 2
The following is a simulated powder diffraction line list of NbOF3. It was derived from a structure optimized by DFT (GGA-PBE), using Cu Kα, 1.54184 Å.
Kinematic intensities with the Lorentz-polarization factor, no thermal factor.

Main lines, in order of falling intensity (10 to 80 degrees two-theta):
| 2theta | intensity | h k l |
| --- | --- | --- |
| 21.23 | 100 | 2 1 0 |
| 13.38 | 67 | 1 1 0 |
| 24.95 | 62 | 1 0 1 |
| 38.48 | 39 | 4 0 0 |
| 26.74 | 33 | 1 1 1 |
| 54.49 | 17 | 5 0 1 |
| 52.19 | 16 | 2 1 2 |
| 62.37 | 16 | 4 0 2 |
| 46.41 | 15 | 4 1 1 |
| 52.68 | 13 | 5 2 0 |

Structure:
a b c (Å): 9.3575 9.3575 3.8601
angles (deg): 90.00 90.00 90.00
Space group P4_2/mnm (No. 136)
Unique sites:
Nb: 0.1313 0.1313 0.0000
O: 0.1151 0.1151 0.5000
F: 0.0947 0.9053 0.0000
F: 0.1075 0.3307 0.0000

Record 3
The following is a simulated powder diffraction line list of LiCuF4. It was derived from a structure optimized by DFT (GGA-PBE), using Cu Kα, 1.54184 Å.
Kinematic intensities with the Lorentz-polarization factor, no thermal factor.

Main lines, in order of falling intensity (10 to 80 degrees two-theta):
| 2theta | intensity | h k l |
| --- | --- | --- |
| 34.56 | 100 | 0 3 -1 |
| 19.30 | 78 | 1 1 -1 |
| 19.39 | 75 | 1 -1 1 |
| 17.52 | 64 | -1 1 1 |
| 14.25 | 62 | 1 0 -1 |
| 32.62 | 59 | 2 0 1 |
| 27.65 | 56 | 2 -1 0 |
| 16.64 | 55 | 0 1 1 |
| 28.72 | 47 | 2 0 -2 |
| 24.09 | 40 | 1 -2 0 |

Structure:
a b c (Å): 6.8021 7.9523 9.8920
angles (deg): 98.98 105.81 101.33
Space group P-1 (No. 2)
Unique sites:
Li: 0.1060 0.9995 0.3126
Li: 0.2616 0.4952 0.0257
Li: 0.3432 0.6548 0.5759
Cu: 0.0025 0.5515 0.6961
Cu: 0.2425 0.9656 0.9019
Cu: 0.4163 0.2427 0.6978
F: 0.0071 0.2852 0.7165
F: 0.0291 0.8420 0.7001
F: 0.1293 0.4443 0.1636
F: 0.1367 0.5490 0.5251
F: 0.1797 0.0286 0.0938
F: 0.1846 0.6807 0.8907
F: 0.2608 0.1512 0.5045
F: 0.2808 0.2343 0.8776
F: 0.3479 0.9290 0.7331
F: 0.4340 0.5251 0.7182
F: 0.4404 0.6974 0.0985
F: 0.4488 0.7769 0.4345